Ho2MgGe2: calculated powder XRD pattern (CuKα), based on a DFT-relaxed cell (GGA-PBE, the Materials Project).
No peak broadening, texture or thermal motion is included.

Structural model:
```
data_Ho2MgGe2
_symmetry_space_group_name_H-M 'P 1'
_symmetry_Int_Tables_number 1
_cell_length_a 7.263
_cell_length_b 7.263
_cell_length_c 4.257
_cell_angle_alpha 90.00
_cell_angle_beta 90.00
_cell_angle_gamma 90.00
loop_
_symmetry_equiv_pos_as_xyz
'x,y,z'
loop_
_atom_site_label
_atom_site_type_symbol
_atom_site_fract_x
_atom_site_fract_y
_atom_site_fract_z
_atom_site_occupancy
Ho1 Ho 0.177 0.323 0.000 1
Ho2 Ho 0.323 0.823 0.000 1
Ho3 Ho 0.677 0.177 0.000 1
Ho4 Ho 0.823 0.677 0.000 1
Mg1 Mg 0.000 0.000 0.500 1
Mg2 Mg 0.500 0.500 0.500 1
Ge1 Ge 0.124 0.624 0.500 1
Ge2 Ge 0.376 0.124 0.500 1
Ge3 Ge 0.624 0.876 0.500 1
Ge4 Ge 0.876 0.376 0.500 1
```

Peak list (12 most intense, 10 to 80 degrees two-theta, low angle first)
- (1 1 0), d = 5.135 Å, intensity 16
- (2 0 0), d = 3.631 Å, intensity 16
- (2 1 0), d = 3.248 Å, intensity 13
- (2 0 1), d = 2.763 Å, intensity 27
- (2 1 1), d = 2.582 Å, intensity 100
- (3 1 0), d = 2.297 Å, intensity 18
- (0 0 2), d = 2.128 Å, intensity 16
- (4 1 0), d = 1.761 Å, intensity 11
- (4 1 1), d = 1.628 Å, intensity 17
- (3 1 2), d = 1.561 Å, intensity 11
- (4 1 2), d = 1.357 Å, intensity 10
- (2 1 3), d = 1.300 Å, intensity 12

=====

Ho4MgGe4: calculated powder XRD pattern (CuKα), based on a DFT-relaxed cell (GGA-PBE, the Materials Project).
No peak broadening, texture or thermal motion is included.

Structural model:
```
data_Ho4MgGe4
_symmetry_space_group_name_H-M 'P 1'
_symmetry_Int_Tables_number 1
_cell_length_a 7.212
_cell_length_b 14.544
_cell_length_c 7.760
_cell_angle_alpha 90.00
_cell_angle_beta 90.00
_cell_angle_gamma 90.00
loop_
_symmetry_equiv_pos_as_xyz
'x,y,z'
loop_
_atom_site_label
_atom_site_type_symbol
_atom_site_fract_x
_atom_site_fract_y
_atom_site_fract_z
_atom_site_occupancy
Ho1 Ho 0.010 0.095 0.183 1
Ho2 Ho 0.010 0.405 0.183 1
Ho3 Ho 0.169 0.127 0.678 1
Ho4 Ho 0.169 0.373 0.678 1
Ho5 Ho 0.331 0.627 0.178 1
Ho6 Ho 0.331 0.873 0.178 1
Ho7 Ho 0.490 0.595 0.683 1
Ho8 Ho 0.490 0.905 0.683 1
Ho9 Ho 0.510 0.095 0.317 1
Ho10 Ho 0.510 0.405 0.317 1
Ho11 Ho 0.669 0.127 0.822 1
Ho12 Ho 0.669 0.373 0.822 1
Ho13 Ho 0.831 0.627 0.322 1
Ho14 Ho 0.831 0.873 0.322 1
Ho15 Ho 0.990 0.595 0.817 1
Ho16 Ho 0.990 0.905 0.817 1
Mg1 Mg 0.160 0.750 0.517 1
Mg2 Mg 0.340 0.250 0.017 1
Mg3 Mg 0.660 0.750 0.983 1
Mg4 Mg 0.840 0.250 0.483 1
Ge1 Ge 0.024 0.750 0.090 1
Ge2 Ge 0.171 0.536 0.466 1
Ge3 Ge 0.171 0.964 0.466 1
Ge4 Ge 0.212 0.250 0.362 1
Ge5 Ge 0.288 0.750 0.862 1
Ge6 Ge 0.329 0.036 0.966 1
Ge7 Ge 0.329 0.464 0.966 1
Ge8 Ge 0.476 0.250 0.590 1
Ge9 Ge 0.524 0.750 0.410 1
Ge10 Ge 0.671 0.536 0.034 1
Ge11 Ge 0.671 0.964 0.034 1
Ge12 Ge 0.712 0.250 0.138 1
Ge13 Ge 0.788 0.750 0.638 1
Ge14 Ge 0.829 0.036 0.534 1
Ge15 Ge 0.829 0.464 0.534 1
Ge16 Ge 0.976 0.250 0.910 1
```

Peak list (12 most intense, 10 to 80 degrees two-theta, low angle first)
- (0 4 0), d = 3.636 Å, intensity 18
- (2 1 1), d = 3.191 Å, intensity 22
- (1 3 2), d = 2.793 Å, intensity 82
- (2 3 1), d = 2.711 Å, intensity 100
- (0 4 2), d = 2.653 Å, intensity 46
- (1 4 2), d = 2.490 Å, intensity 34
- (2 4 1), d = 2.432 Å, intensity 30
- (1 1 3), d = 2.401 Å, intensity 26
- (3 0 1), d = 2.296 Å, intensity 37
- (3 0 3), d = 1.761 Å, intensity 16
- (3 4 3), d = 1.585 Å, intensity 28
- (0 9 1), d = 1.582 Å, intensity 21